Entry 1:
La5Pm6Tl: theoretical powder X-ray diffraction pattern (Cu Kα, 1.54184 Å), based on a GGA-PBE-relaxed structure.
Neutral-atom scattering factors, no anomalous dispersion.

Most intense lines, 10 to 90 degrees two-theta, by intensity:
30.1°, I = 100; 34.9°, I = 68; 30.0°, I = 34; 50.3°, I = 24; 59.6°, I = 24; 59.7°, I = 19; 50.1°, I = 16; 62.6°, I = 12; 59.4°, I = 10; 50.0°, I = 8; 81.8°, I = 8; 84.0°, I = 7

Crystal structure
```
12
Lattice="3.1412 -5.4517 0.0000 3.1412 5.4517 0.0000 -2.1225 0.0000 11.9195" Properties=species:S:1:pos:R:3 pbc="T T T"
La 0.0000 0.0000 0.0000
La 2.0799 3.6381 5.9598
La 3.1412 1.8545 0.0000
La 3.1412 -1.8545 0.0000
La 2.0799 -3.6381 5.9598
Pm 1.0698 1.7727 3.0217
Pm 0.0272 0.0000 8.9196
Pm 1.0698 -1.7727 3.0217
Pm 3.0900 1.7727 8.8978
Pm 4.1326 0.0000 2.9999
Pm 3.0900 -1.7727 8.8978
Tl 2.0799 0.0000 5.9598
```

Entry 2:
Ba4HgP12: theoretical powder X-ray diffraction pattern (Cu Kα, 1.54184 Å), based on a GGA-PBE-relaxed structure.
Neutral-atom scattering factors, no anomalous dispersion.

Most intense lines, 10 to 90 degrees two-theta, by intensity:
24.6°, I = 100; 43.3°, I = 33; 68.6°, I = 20; 27.6°, I = 20; 32.7°, I = 18; 45.2°, I = 17; 39.4°, I = 17; 56.9°, I = 14; 35.1°, I = 13; 79.5°, I = 10; 12.2°, I = 9; 48.7°, I = 9

Crystal structure
```
17
Lattice="-5.1165 5.1165 5.1165 5.1165 -5.1165 5.1165 5.1165 5.1165 -5.1165" Properties=species:S:1:pos:R:3 pbc="T T T"
Ba 2.5582 2.5582 -2.5582
Ba 2.5582 -2.5582 2.5582
Ba -2.5582 2.5582 2.5582
Ba 2.5582 2.5582 2.5582
Hg 0.0000 0.0000 0.0000
P 4.0221 1.0736 0.0000
P 6.2109 1.0736 0.0000
P 5.1165 -1.0944 4.0429
P 4.0429 5.1165 -1.0944
P 1.0736 0.0000 4.0221
P 0.0000 4.0221 1.0736
P 5.1165 1.0944 4.0429
P 4.0429 5.1165 1.0944
P 1.0736 0.0000 6.2109
P 0.0000 6.2109 1.0736
P -1.0944 4.0429 5.1165
P 1.0944 4.0429 5.1165
```